The following is a simulated PXRD pattern of Er2UMnC4. It was derived from a crystal structure in Alexandria, relaxed with PBE, using Cu Kα (λ = 1.5418 Å).
Neutral-atom scattering factors, no anomalous dispersion.

Structural model:
Cell: 5.9548 5.9548 11.7414 Å, 90.00 90.00 146.80°
Fractional coordinates of all 16 atoms:
Er: 0.1323 0.8677 0.5456
Er: 0.1323 0.8677 0.9544
Er: 0.8677 0.1323 0.0456
Er: 0.8677 0.1323 0.4544
U: 0.4042 0.5958 0.7500
U: 0.5958 0.4042 0.2500
Mn: 0.3332 0.6668 0.2500
Mn: 0.6668 0.3332 0.7500
C: 0.0739 0.9261 0.7500
C: 0.2250 0.7750 0.1396
C: 0.2250 0.7750 0.3604
C: 0.5000 0.5000 0.0000
C: 0.5000 0.5000 0.5000
C: 0.7750 0.2250 0.6396
C: 0.7750 0.2250 0.8604
C: 0.9261 0.0739 0.2500

Most intense lines, 2θ = 10–90°, in order of rising 2θ:
two_theta	d/Å	I_rel
27.64	3.228	53.1
30.45	2.935	23.2
31.37	2.851	100.0
36.24	2.479	30.3
38.67	2.328	32.1
53.15	1.723	19.2

The following is a simulated PXRD pattern of CaY2MgAu4. It was derived from a crystal structure in Alexandria, relaxed with PBE, using Cu Kα (λ = 1.5418 Å).
Neutral-atom scattering factors, no anomalous dispersion.

Structural model:
Cell: 8.6820 8.6820 8.6820 Å, 33.53 33.53 33.53°
Fractional coordinates of all 8 atoms:
Ca: 0.0000 0.0000 0.0000
Y: 0.2466 0.2466 0.2466
Y: 0.7534 0.7534 0.7534
Mg: 0.5000 0.5000 0.5000
Au: 0.1253 0.1253 0.1253
Au: 0.3785 0.3785 0.3785
Au: 0.6215 0.6215 0.6215
Au: 0.8747 0.8747 0.8747

Most intense lines, 2θ = 10–90°, in order of rising 2θ:
two_theta	d/Å	I_rel
25.14	3.543	32.7
35.85	2.505	100.0
51.60	1.771	17.6
58.23	1.584	14.1
64.42	1.446	35.7
86.96	1.120	16.1

The following is a simulated PXRD pattern of CaGa4Ir2. It was derived from a crystal structure in Alexandria, relaxed with PBE, using Cu Kα (λ = 1.5418 Å).
Neutral-atom scattering factors, no anomalous dispersion.

Structural model:
Cell: 17.0300 4.3168 6.7480 Å, 90.00 90.00 90.00°
Fractional coordinates of all 28 atoms:
Ca: 0.1431 0.2500 0.0269
Ca: 0.3569 0.7500 0.5269
Ca: 0.6431 0.2500 0.4731
Ca: 0.8569 0.7500 0.9731
Ga: 0.0348 0.7500 0.8603
Ga: 0.0672 0.2500 0.4816
Ga: 0.1841 0.7500 0.3318
Ga: 0.1933 0.7500 0.7410
Ga: 0.3067 0.2500 0.2410
Ga: 0.3159 0.2500 0.8318
Ga: 0.4328 0.7500 0.9816
Ga: 0.4652 0.2500 0.3603
Ga: 0.5348 0.7500 0.6397
Ga: 0.5672 0.2500 0.0184
Ga: 0.6841 0.7500 0.1682
Ga: 0.6933 0.7500 0.7590
Ga: 0.8067 0.2500 0.2590
Ga: 0.8159 0.2500 0.6682
Ga: 0.9328 0.7500 0.5184
Ga: 0.9652 0.2500 0.1397
Ir: 0.0357 0.7500 0.2492
Ir: 0.2141 0.2500 0.5421
Ir: 0.2859 0.7500 0.0421
Ir: 0.4643 0.2500 0.7492
Ir: 0.5357 0.7500 0.2508
Ir: 0.7141 0.2500 0.9579
Ir: 0.7859 0.7500 0.4579
Ir: 0.9643 0.2500 0.7508

Most intense lines, 2θ = 10–90°, in order of rising 2θ:
two_theta	d/Å	I_rel
20.86	4.258	32.7
25.04	3.556	32.2
35.37	2.538	65.6
36.13	2.486	34.0
41.85	2.158	49.0
46.80	1.941	100.0

The following is a simulated PXRD pattern of Y2MgZn12Ni3. It was derived from a crystal structure in Alexandria, relaxed with PBE, using Cu Kα (λ = 1.5418 Å).
Neutral-atom scattering factors, no anomalous dispersion.

Structural model:
Cell: 8.0311 8.0311 8.0311 Å, 61.94 61.94 61.94°
Fractional coordinates of all 18 atoms:
Y: 0.0883 0.0883 0.0883
Y: 0.9117 0.9117 0.9117
Mg: 0.5000 0.5000 0.5000
Zn: 0.0166 0.6669 0.6669
Zn: 0.1788 0.1788 0.6407
Zn: 0.1788 0.6407 0.1788
Zn: 0.3331 0.3331 0.9834
Zn: 0.3331 0.9834 0.3331
Zn: 0.3593 0.8212 0.8212
Zn: 0.6407 0.1788 0.1788
Zn: 0.6669 0.0166 0.6669
Zn: 0.6669 0.6669 0.0166
Zn: 0.8212 0.3593 0.8212
Zn: 0.8212 0.8212 0.3593
Zn: 0.9834 0.3331 0.3331
Ni: 0.0000 0.5000 0.5000
Ni: 0.5000 0.0000 0.5000
Ni: 0.5000 0.5000 0.0000

Most intense lines, 2θ = 10–90°, in order of rising 2θ:
two_theta	d/Å	I_rel
13.71	6.459	92.7
25.30	3.520	71.3
25.59	3.481	62.6
34.42	2.606	92.9
43.81	2.066	100.0
46.12	1.968	63.2

The following is a simulated PXRD pattern of TiCrRh4. It was derived from a crystal structure in Alexandria, relaxed with PBE, using Cu Kα (λ = 1.5418 Å).
Neutral-atom scattering factors, no anomalous dispersion.

Structural model:
Cell: 4.0663 4.0663 5.7787 Å, 90.00 90.00 90.00°
Fractional coordinates of all 6 atoms:
Ti: 0.0000 0.0000 0.0000
Cr: 0.5000 0.5000 0.5000
Rh: 0.0000 0.5000 0.2570
Rh: 0.0000 0.5000 0.7430
Rh: 0.5000 0.0000 0.2570
Rh: 0.5000 0.0000 0.7430

Most intense lines, 2θ = 10–90°, in order of rising 2θ:
two_theta	d/Å	I_rel
30.95	2.889	26.0
31.10	2.875	51.8
44.45	2.038	100.0
44.57	2.033	49.9
55.24	1.663	20.3
82.02	1.175	31.4

The following is a simulated PXRD pattern of CaCuB. It was derived from a crystal structure in Alexandria, relaxed with PBE, using Cu Kα (λ = 1.5418 Å).
Neutral-atom scattering factors, no anomalous dispersion.

Structural model:
Cell: 6.2451 6.2451 5.0983 Å, 110.11 110.11 30.80°
Fractional coordinates of all 6 atoms:
Ca: 0.1132 0.1132 0.3066
Ca: 0.8868 0.8868 0.6934
Cu: 0.4026 0.4026 0.2514
Cu: 0.5974 0.5974 0.7486
B: 0.2360 0.2360 0.9453
B: 0.7640 0.7640 0.0547

Most intense lines, 2θ = 10–90°, in order of rising 2θ:
two_theta	d/Å	I_rel
31.82	2.812	46.4
32.22	2.778	34.0
35.48	2.530	49.4
36.63	2.453	100.0
37.77	2.382	35.2
44.96	2.016	43.1

The following is a simulated PXRD pattern of Sm2ZnCu9. It was derived from a crystal structure in Alexandria, relaxed with PBE, using Cu Kα (λ = 1.5418 Å).
Neutral-atom scattering factors, no anomalous dispersion.

Structural model:
Cell: 8.7988 8.7988 8.7988 Å, 33.78 33.78 33.78°
Fractional coordinates of all 12 atoms:
Sm: 0.1341 0.1341 0.1341
Sm: 0.8659 0.8659 0.8659
Zn: 0.0000 0.0000 0.0000
Cu: 0.0794 0.5808 0.5808
Cu: 0.3328 0.3328 0.3328
Cu: 0.4192 0.4192 0.9206
Cu: 0.4192 0.9206 0.4192
Cu: 0.5000 0.5000 0.5000
Cu: 0.5808 0.0794 0.5808
Cu: 0.5808 0.5808 0.0794
Cu: 0.6672 0.6672 0.6672
Cu: 0.9206 0.4192 0.4192

Most intense lines, 2θ = 10–90°, in order of rising 2θ:
two_theta	d/Å	I_rel
32.32	2.770	41.1
35.11	2.556	51.5
35.28	2.544	47.4
40.93	2.205	42.7
41.50	2.176	100.0
44.82	2.022	40.1

The following is a simulated PXRD pattern of YTh2Sb4. It was derived from a crystal structure in Alexandria, relaxed with PBE, using Cu Kα (λ = 1.5418 Å).
Neutral-atom scattering factors, no anomalous dispersion.

Structural model:
Cell: 8.1210 8.1210 8.1210 Å, 109.75 109.75 108.91°
Fractional coordinates of all 14 atoms:
Y: 0.0000 0.0000 0.0000
Y: 0.7500 0.2500 0.5000
Th: 0.2537 0.1250 0.6287
Th: 0.3750 0.7463 0.8713
Th: 0.4963 0.6250 0.3713
Th: 0.8750 0.5037 0.1287
Sb: 0.1174 0.3731 0.9048
Sb: 0.1231 0.3674 0.4048
Sb: 0.2817 0.8769 0.2443
Sb: 0.4683 0.2126 0.0952
Sb: 0.6269 0.5317 0.7443
Sb: 0.6326 0.0374 0.7557
Sb: 0.7874 0.8826 0.2557
Sb: 0.9626 0.7183 0.5952

Most intense lines, 2θ = 10–90°, in order of rising 2θ:
two_theta	d/Å	I_rel
23.15	3.841	17.6
29.96	2.983	40.4
30.23	2.956	100.0
35.71	2.514	55.5
35.90	2.501	56.6
43.24	2.092	23.6